Theoretical PXRD pattern
Compound: Nd2Fe17N2
Radiation: λ = 1.5418 Å (Cu Kα)
Structure: a crystal structure in the Materials Project, relaxed with GGA-PBE
Kinematic intensities with the Lorentz-polarization factor, no thermal factor.

Top 10 peaks for 2θ from 5° to 70°, in order of rising 2θ:
29.69 deg, I 31, hkl 1 1 -2; 29.76 deg, I 17, hkl 3 1 0; 35.74 deg, I 32, hkl 1 3 1; 37.44 deg, I 36, hkl 4 0 0; 41.42 deg, I 61, hkl 2 2 2; 41.55 deg, I 31, hkl 0 4 0; 41.85 deg, I 20, hkl 0 0 3; 42.03 deg, I 100, hkl 3 3 0; 43.07 deg, I 16, hkl 4 2 0; 43.58 deg, I 53, hkl 4 0 -2

Atomic structure:
Cell: 9.697 8.695 6.544 Å, 90.00 98.34 90.00°
Space group C2/m (No. 12)
Unique sites:
Nd (0.156, 0.000, 0.341) [4 per cell]
Fe (0.000, 0.218, 0.000) [4 per cell]
Fe (0.000, 0.500, 0.500) [2 per cell]
Fe (0.095, 0.500, 0.906) [4 per cell]
Fe (0.099, 0.256, 0.661) [8 per cell]
Fe (0.142, 0.358, 0.283) [8 per cell]
Fe (0.156, 0.000, 0.858) [4 per cell]
Fe (0.250, 0.250, 0.000) [4 per cell]
N (0.250, 0.250, 0.500) [4 per cell]